[1]
Starting from DFT lattice parameters and positions (PBE), the powder XRD pattern of BaBe2SnCl8 was calculated for λ = 1.5418 Å (Cu Kα).
Peak positions follow from Bragg's law for the DFT cell and can differ from measured ones.

Top 10 peaks for 2θ = 10–80°, low angle first:
- (0 1 2), d = 5.011 Å, 17.70 deg, rel. 47
- (1 0 4), d = 4.219 Å, 21.06 deg, rel. 66
- (1 1 0), d = 3.114 Å, 28.67 deg, rel. 28
- (1 1 3), d = 2.944 Å, 30.36 deg, rel. 38
- (0 1 8), d = 2.868 Å, 31.19 deg, rel. 25
- (2 0 2), d = 2.645 Å, 33.89 deg, rel. 21
- (2 -1 6), d = 2.563 Å, 35.01 deg, rel. 100
- (2 1 4), d = 1.952 Å, 46.52 deg, rel. 16
- (1 1 12), d = 1.828 Å, 49.90 deg, rel. 28
- (3 0 0), d = 1.798 Å, 50.78 deg, rel. 26

Crystal structure
```
data_BaBe2SnCl8
_space_group_name_H-M_alt 'R -3'
_space_group_IT_number 148
_space_group_name_Hall '-R 3'
_cell_length_a 6.2278
_cell_length_b 6.2278
_cell_length_c 27.0881
_cell_angle_alpha 90.00
_cell_angle_beta 90.00
_cell_angle_gamma 120.00
loop_
_atom_site_label
_atom_site_type_symbol
_atom_site_fract_x
_atom_site_fract_y
_atom_site_fract_z
Ba1 Ba 0.0000 0.0000 0.0000
Be1 Be 0.0000 0.0000 0.2547
Sn1 Sn 0.0000 0.0000 0.5000
Cl1 Cl 0.0000 0.0000 0.3288
Cl2 Cl 0.0081 0.6337 0.4355
```

[2]
Starting from DFT lattice parameters and positions (PBE), the powder XRD pattern of BaBeCr2 was calculated for λ = 1.5418 Å (Cu Kα).
Peak positions follow from Bragg's law for the DFT cell and can differ from measured ones.

Top 10 peaks for 2θ = 10–80°, low angle first:
- (1 0 1), d = 3.804 Å, 23.38 deg, rel. 42
- (0 0 2), d = 3.717 Å, 23.94 deg, rel. 37
- (1 1 0), d = 3.546 Å, 25.11 deg, rel. 39
- (0 2 0), d = 2.962 Å, 30.18 deg, rel. 48
- (1 1 2), d = 2.566 Å, 34.97 deg, rel. 100
- (1 2 1), d = 2.337 Å, 38.52 deg, rel. 23
- (0 2 2), d = 2.316 Å, 38.88 deg, rel. 20
- (2 0 0), d = 2.214 Å, 40.76 deg, rel. 20
- (1 1 4), d = 1.646 Å, 55.85 deg, rel. 25
- (1 3 2), d = 1.622 Å, 56.74 deg, rel. 23

Crystal structure
```
data_BaBeCr2
_space_group_name_H-M_alt 'I m m 2'
_space_group_IT_number 44
_space_group_name_Hall 'I 2 -2'
_cell_length_a 4.4280
_cell_length_b 5.9231
_cell_length_c 7.4342
_cell_angle_alpha 90.00
_cell_angle_beta 90.00
_cell_angle_gamma 90.00
loop_
_atom_site_label
_atom_site_type_symbol
_atom_site_fract_x
_atom_site_fract_y
_atom_site_fract_z
Ba1 Ba 0.0000 0.0000 0.0000
Be1 Be 0.0000 0.5000 0.1610
Cr1 Cr 0.0000 0.0000 0.5144
Cr2 Cr 0.0000 0.5000 0.8387
```

[3]
Starting from DFT lattice parameters and positions (PBE), the powder XRD pattern of BaBe2Cr was calculated for λ = 1.5418 Å (Cu Kα).
Peak positions follow from Bragg's law for the DFT cell and can differ from measured ones.

Top 10 peaks for 2θ = 10–80°, low angle first:
- (0 0 3), d = 5.924 Å, 14.95 deg, rel. 23
- (1 0 1), d = 3.380 Å, 26.37 deg, rel. 100
- (0 1 2), d = 3.210 Å, 27.79 deg, rel. 37
- (0 0 6), d = 2.962 Å, 30.17 deg, rel. 34
- (1 0 4), d = 2.721 Å, 32.91 deg, rel. 49
- (0 1 5), d = 2.473 Å, 36.33 deg, rel. 58
- (1 1 0), d = 1.988 Å, 45.64 deg, rel. 35
- (0 2 1), d = 1.713 Å, 53.48 deg, rel. 14
- (1 1 6), d = 1.650 Å, 55.69 deg, rel. 33
- (1 0 10), d = 1.579 Å, 58.44 deg, rel. 14

Crystal structure
```
data_BaBe2Cr
_space_group_name_H-M_alt 'R 3 m'
_space_group_IT_number 160
_space_group_name_Hall 'R 3 -2"'
_cell_length_a 3.9751
_cell_length_b 3.9751
_cell_length_c 17.7733
_cell_angle_alpha 90.00
_cell_angle_beta 90.00
_cell_angle_gamma 120.00
loop_
_atom_site_label
_atom_site_type_symbol
_atom_site_fract_x
_atom_site_fract_y
_atom_site_fract_z
Ba1 Ba 0.0000 0.0000 0.0000
Be1 Be 0.0000 0.0000 0.4912
Be2 Be 0.0000 0.0000 0.8159
Cr1 Cr 0.0000 0.0000 0.1866
```

[4]
Starting from DFT lattice parameters and positions (PBE), the powder XRD pattern of CsBaNaBe2 was calculated for λ = 1.5418 Å (Cu Kα).
Peak positions follow from Bragg's law for the DFT cell and can differ from measured ones.

Top 10 peaks for 2θ = 10–80°, low angle first:
- (1 0 0), d = 5.788 Å, 15.31 deg, rel. 100
- (1 1 0), d = 4.093 Å, 21.71 deg, rel. 59
- (0 0 2), d = 3.251 Å, 27.44 deg, rel. 20
- (2 0 0), d = 2.894 Å, 30.90 deg, rel. 29
- (1 0 2), d = 2.834 Å, 31.57 deg, rel. 35
- (2 1 0), d = 2.589 Å, 34.65 deg, rel. 27
- (1 1 2), d = 2.545 Å, 35.26 deg, rel. 34
- (2 0 2), d = 2.162 Å, 41.79 deg, rel. 25
- (2 1 2), d = 2.025 Å, 44.76 deg, rel. 26
- (3 1 2), d = 1.595 Å, 57.81 deg, rel. 16

Crystal structure
```
data_CsBaNaBe2
_space_group_name_H-M_alt 'P 4/m m m'
_space_group_IT_number 123
_space_group_name_Hall '-P 4 2'
_cell_length_a 5.7881
_cell_length_b 5.7881
_cell_length_c 6.5013
_cell_angle_alpha 90.00
_cell_angle_beta 90.00
_cell_angle_gamma 90.00
loop_
_atom_site_label
_atom_site_type_symbol
_atom_site_fract_x
_atom_site_fract_y
_atom_site_fract_z
Cs1 Cs 0.0000 0.0000 0.0000
Ba1 Ba 0.0000 0.0000 0.5000
Na1 Na 0.5000 0.5000 0.5000
Be1 Be 0.0000 0.5000 0.0000
```

[5]
Starting from DFT lattice parameters and positions (PBE), the powder XRD pattern of BaBeCu2F8 was calculated for λ = 1.5418 Å (Cu Kα).
Peak positions follow from Bragg's law for the DFT cell and can differ from measured ones.

Top 10 peaks for 2θ = 10–80°, low angle first:
- (1 0 1), d = 3.687 Å, 24.14 deg, rel. 100
- (0 1 2), d = 2.698 Å, 33.21 deg, rel. 36
- (1 1 0), d = 2.525 Å, 35.55 deg, rel. 45
- (1 1 1), d = 2.370 Å, 37.97 deg, rel. 15
- (0 0 3), d = 2.285 Å, 39.44 deg, rel. 19
- (0 2 1), d = 2.083 Å, 43.43 deg, rel. 37
- (2 -1 2), d = 2.033 Å, 44.57 deg, rel. 18
- (2 0 2), d = 1.844 Å, 49.44 deg, rel. 19
- (1 1 3), d = 1.694 Å, 54.13 deg, rel. 15
- (2 1 1), d = 1.607 Å, 57.33 deg, rel. 23

Crystal structure
```
data_BaBeCu2F8
_space_group_name_H-M_alt 'P -3'
_space_group_IT_number 147
_space_group_name_Hall '-P 3'
_cell_length_a 5.0504
_cell_length_b 5.0504
_cell_length_c 6.8543
_cell_angle_alpha 90.00
_cell_angle_beta 90.00
_cell_angle_gamma 120.00
loop_
_atom_site_label
_atom_site_type_symbol
_atom_site_fract_x
_atom_site_fract_y
_atom_site_fract_z
Ba1 Ba 0.0000 0.0000 0.0000
Be1 Be 0.0000 0.0000 0.5000
Cu1 Cu 0.3333 0.6667 0.6367
F1 F 0.0522 0.7437 0.3545
F2 F 0.3333 0.6667 0.9139
```

[6]
Starting from DFT lattice parameters and positions (PBE), the powder XRD pattern of BaMnBe2Cu was calculated for λ = 1.5418 Å (Cu Kα).
Peak positions follow from Bragg's law for the DFT cell and can differ from measured ones.

Top 10 peaks for 2θ = 10–80°, low angle first:
- (0 0 1), d = 4.905 Å, 18.08 deg, rel. 39
- (1 0 1), d = 3.321 Å, 26.84 deg, rel. 52
- (1 1 0), d = 3.192 Å, 27.96 deg, rel. 100
- (1 1 1), d = 2.675 Å, 33.50 deg, rel. 51
- (0 0 2), d = 2.453 Å, 36.64 deg, rel. 29
- (2 0 0), d = 2.257 Å, 39.95 deg, rel. 46
- (1 1 2), d = 1.945 Å, 46.71 deg, rel. 48
- (2 1 1), d = 1.867 Å, 48.79 deg, rel. 20
- (2 0 2), d = 1.661 Å, 55.32 deg, rel. 34
- (3 1 2), d = 1.234 Å, 77.35 deg, rel. 20

Crystal structure
```
data_BaMnBe2Cu
_space_group_name_H-M_alt 'P 4/m m m'
_space_group_IT_number 123
_space_group_name_Hall '-P 4 2'
_cell_length_a 4.5136
_cell_length_b 4.5136
_cell_length_c 4.9053
_cell_angle_alpha 90.00
_cell_angle_beta 90.00
_cell_angle_gamma 90.00
loop_
_atom_site_label
_atom_site_type_symbol
_atom_site_fract_x
_atom_site_fract_y
_atom_site_fract_z
Ba1 Ba 0.0000 0.0000 0.0000
Mn1 Mn 0.5000 0.5000 0.5000
Be1 Be 0.0000 0.5000 0.5000
Cu1 Cu 0.5000 0.5000 0.0000
```

[7]
Starting from DFT lattice parameters and positions (PBE), the powder XRD pattern of BaBe2CuSe4 was calculated for λ = 1.5418 Å (Cu Kα).
Peak positions follow from Bragg's law for the DFT cell and can differ from measured ones.

Top 10 peaks for 2θ = 10–80°, low angle first:
- (1 1 0), d = 4.893 Å, 18.13 deg, rel. 65
- (1 1 2), d = 3.238 Å, 27.55 deg, rel. 100
- (1 2 1), d = 3.044 Å, 29.34 deg, rel. 76
- (0 2 2), d = 2.840 Å, 31.50 deg, rel. 28
- (0 1 3), d = 2.689 Å, 33.31 deg, rel. 23
- (2 0 2), d = 2.579 Å, 34.79 deg, rel. 46
- (2 2 0), d = 2.446 Å, 36.74 deg, rel. 28
- (1 3 2), d = 2.059 Å, 43.97 deg, rel. 24
- (1 1 4), d = 1.975 Å, 45.94 deg, rel. 29
- (2 3 3), d = 1.631 Å, 56.40 deg, rel. 27

Crystal structure
```
data_BaBe2CuSe4
_space_group_name_H-M_alt 'I 2 2 2'
_space_group_IT_number 23
_space_group_name_Hall 'I 2 2'
_cell_length_a 6.4293
_cell_length_b 7.5425
_cell_length_c 8.6360
_cell_angle_alpha 90.00
_cell_angle_beta 90.00
_cell_angle_gamma 90.00
loop_
_atom_site_label
_atom_site_type_symbol
_atom_site_fract_x
_atom_site_fract_y
_atom_site_fract_z
Ba1 Ba 0.0000 0.0000 0.0000
Be1 Be 0.0000 0.5000 0.1778
Cu1 Cu 0.0000 0.0000 0.5000
Se1 Se 0.2374 0.1533 0.3247
```

[8]
Starting from DFT lattice parameters and positions (PBE), the powder XRD pattern of BaLiBeF5 was calculated for λ = 1.5418 Å (Cu Kα).
Peak positions follow from Bragg's law for the DFT cell and can differ from measured ones.

Top 10 peaks for 2θ = 10–80°, low angle first:
- (1 1 0), d = 5.583 Å, 15.88 deg, rel. 59
- (1 1 -1), d = 4.813 Å, 18.43 deg, rel. 82
- (0 2 1), d = 3.877 Å, 22.94 deg, rel. 100
- (2 0 0), d = 3.445 Å, 25.86 deg, rel. 69
- (0 0 2), d = 3.324 Å, 26.82 deg, rel. 45
- (1 3 0), d = 2.884 Å, 31.01 deg, rel. 57
- (2 0 -2), d = 2.791 Å, 32.07 deg, rel. 52
- (2 2 1), d = 2.397 Å, 37.53 deg, rel. 41
- (1 3 -2), d = 2.306 Å, 39.07 deg, rel. 79
- (1 1 -3), d = 2.230 Å, 40.44 deg, rel. 42

Crystal structure
```
data_BaLiBeF5
_space_group_name_H-M_alt 'C 1 2/c 1'
_space_group_IT_number 15
_space_group_name_Hall '-C 2yc'
_cell_length_a 7.1444
_cell_length_b 9.5251
_cell_length_c 6.8939
_cell_angle_alpha 90.00
_cell_angle_beta 105.34
_cell_angle_gamma 90.00
loop_
_atom_site_label
_atom_site_type_symbol
_atom_site_fract_x
_atom_site_fract_y
_atom_site_fract_z
Ba1 Ba 0.0000 0.1626 0.2500
Li1 Li 0.0000 0.5000 0.0000
Be1 Be 0.0000 0.1967 0.7500
F1 F 0.0000 0.4311 0.2500
F2 F 0.1133 0.2900 0.6318
F3 F 0.1364 0.0983 0.9111
```